1.
Diffraction record for Sr9CaSi6. The powder diffraction line list is simulated, not measured: it uses a crystal structure in the Materials Project, relaxed with GGA-PBE and Cu Kα X-rays.
Neutral-atom scattering factors, no anomalous dispersion.

Main lines, by angle (2θ = 10–90°):
25.46 deg, I 37, hkl 2 1 1; 27.45 deg, I 14, hkl 1 1 4; 30.10 deg, I 100, hkl 1 2 3; 31.54 deg, I 21, hkl 2 2 0; 31.73 deg, I 70, hkl 2 0 4; 35.38 deg, I 34, hkl 1 3 0; 47.05 deg, I 24, hkl 1 4 1; 47.46 deg, I 20, hkl 2 1 7; 49.95 deg, I 26, hkl 4 1 3; 53.71 deg, I 23, hkl 3 3 4; 62.98 deg, I 25, hkl 1 4 7; 70.39 deg, I 15, hkl 6 0 0

Crystal structure
```
data_Sr9CaSi6
_chemical_formula_sum 'Sr18 Ca2 Si12'
_cell_length_a 8.0221
_cell_length_b 8.0221
_cell_length_c 15.8584
_cell_angle_alpha 90.00
_cell_angle_beta 90.00
_cell_angle_gamma 90.00
_space_group_name_H-M_alt 'I 4/m'
_space_group_IT_number 87
_space_group_name_Hall '-I 4'
loop_
_atom_site_label
_atom_site_type_symbol
_atom_site_fract_x
_atom_site_fract_y
_atom_site_fract_z
_atom_site_occupancy
Sr1 Sr 0.0000 0.0000 0.0000 1
Sr2 Sr 0.1785 0.3172 0.3604 1
Ca1 Ca 0.0000 0.0000 0.5000 1
Si1 Si 0.0000 0.0000 0.2499 1
Si2 Si 0.1059 0.6125 0.5000 1
```

***

2.
Diffraction record for HoMgS3. The powder diffraction line list is simulated, not measured: it uses a crystal structure in the Materials Project, relaxed with GGA-PBE and Cu Kα X-rays.
Neutral-atom scattering factors, no anomalous dispersion.

Main lines, by angle (2θ = 10–90°):
14.76 deg, I 64, hkl 0 0 3; 16.16 deg, I 53, hkl 1 0 1; 18.29 deg, I 38, hkl 0 1 2; 25.11 deg, I 67, hkl 1 0 4; 26.81 deg, I 56, hkl 1 1 0; 30.74 deg, I 100, hkl 1 1 3; 37.07 deg, I 34, hkl 0 2 4; 38.33 deg, I 22, hkl 1 0 7; 40.50 deg, I 82, hkl 2 -1 6; 46.34 deg, I 32, hkl 3 -1 4; 47.36 deg, I 55, hkl 3 0 0; 55.28 deg, I 23, hkl 3 -1 7

Crystal structure
```
data_HoMgS3
_chemical_formula_sum 'Ho6 Mg6 S18'
_cell_length_a 6.6497
_cell_length_b 6.6497
_cell_length_c 18.0002
_cell_angle_alpha 90.00
_cell_angle_beta 90.00
_cell_angle_gamma 120.00
_space_group_name_H-M_alt 'R -3'
_space_group_IT_number 148
_space_group_name_Hall '-R 3'
loop_
_atom_site_label
_atom_site_type_symbol
_atom_site_fract_x
_atom_site_fract_y
_atom_site_fract_z
_atom_site_occupancy
Ho1 Ho 0.0000 0.0000 0.1506 1
Mg1 Mg 0.0000 0.0000 0.3442 1
S1 S 0.0154 0.6476 0.9173 1
```

***

3.
Diffraction record for TmGa2Ni. The powder diffraction line list is simulated, not measured: it uses a crystal structure in the Materials Project, relaxed with GGA-PBE and Cu Kα X-rays.
Neutral-atom scattering factors, no anomalous dispersion.

Main lines, by angle (2θ = 10–90°):
23.44 deg, I 14, hkl 1 1 0; 34.77 deg, I 15, hkl 1 3 0; 35.90 deg, I 100, hkl 1 1 2; 37.38 deg, I 86, hkl 1 3 1; 38.64 deg, I 40, hkl 0 4 1; 44.11 deg, I 35, hkl 2 0 0; 44.75 deg, I 24, hkl 0 2 3; 60.06 deg, I 22, hkl 2 4 1; 64.65 deg, I 16, hkl 2 2 3; 67.19 deg, I 14, hkl 1 5 3; 70.04 deg, I 17, hkl 1 7 0; 75.76 deg, I 14, hkl 3 1 2

Crystal structure
```
data_TmGa2Ni
_chemical_formula_sum 'Tm4 Ga8 Ni4'
_cell_length_a 4.1061
_cell_length_b 9.9512
_cell_length_c 6.6518
_cell_angle_alpha 90.00
_cell_angle_beta 90.00
_cell_angle_gamma 90.00
_space_group_name_H-M_alt 'C m c m'
_space_group_IT_number 63
_space_group_name_Hall '-C 2c 2'
loop_
_atom_site_label
_atom_site_type_symbol
_atom_site_fract_x
_atom_site_fract_y
_atom_site_fract_z
_atom_site_occupancy
Tm1 Tm 0.0000 0.0721 0.2500 1
Ga1 Ga 0.0000 0.3581 0.0534 1
Ni1 Ni 0.0000 0.2114 0.7500 1
```

***

4.
Diffraction record for AlAsPt5. The powder diffraction line list is simulated, not measured: it uses a crystal structure in the Materials Project, relaxed with GGA-PBE and Cu Kα X-rays.
Neutral-atom scattering factors, no anomalous dispersion.

Main lines, by angle (2θ = 10–90°):
22.28 deg, I 13, hkl 1 0 0; 25.30 deg, I 16, hkl 0 0 2; 31.71 deg, I 21, hkl 1 1 0; 33.96 deg, I 9, hkl 1 0 2; 34.23 deg, I 10, hkl 1 1 1; 40.99 deg, I 100, hkl 1 1 2; 45.46 deg, I 40, hkl 2 0 0; 51.94 deg, I 10, hkl 0 0 4; 66.24 deg, I 13, hkl 2 2 0; 71.46 deg, I 16, hkl 2 0 4; 80.93 deg, I 28, hkl 3 1 2; 88.89 deg, I 10, hkl 2 2 4

Crystal structure
```
data_AlAsPt5
_chemical_formula_sum 'Al1 As1 Pt5'
_cell_length_a 3.9906
_cell_length_b 3.9906
_cell_length_c 7.0416
_cell_angle_alpha 90.00
_cell_angle_beta 90.00
_cell_angle_gamma 90.00
_space_group_name_H-M_alt 'P 4/m m m'
_space_group_IT_number 123
_space_group_name_Hall '-P 4 2'
loop_
_atom_site_label
_atom_site_type_symbol
_atom_site_fract_x
_atom_site_fract_y
_atom_site_fract_z
_atom_site_occupancy
Al1 Al 0.0000 0.0000 0.0000 1
As1 As 0.5000 0.5000 0.5000 1
Pt1 Pt 0.0000 0.5000 0.2732 1
Pt2 Pt 0.5000 0.5000 0.0000 1
```

***

5.
Diffraction record for La3Ti2N3O4. The powder diffraction line list is simulated, not measured: it uses a crystal structure in the Materials Project, relaxed with GGA-PBE and Cu Kα X-rays.
Neutral-atom scattering factors, no anomalous dispersion.

Main lines, by angle (2θ = 10–90°):
22.62 deg, I 19, hkl 0 1 1; 23.17 deg, I 20, hkl 1 0 1; 25.74 deg, I 28, hkl 0 0 6; 31.03 deg, I 79, hkl 0 1 5; 31.44 deg, I 72, hkl 1 0 5; 32.01 deg, I 100, hkl 1 1 0; 41.53 deg, I 47, hkl 1 1 6; 45.31 deg, I 31, hkl 0 2 0; 46.49 deg, I 26, hkl 2 0 0; 55.10 deg, I 18, hkl 1 1 10; 56.19 deg, I 28, hkl 1 2 5; 56.95 deg, I 28, hkl 2 1 5

Crystal structure
```
data_La3Ti2N3O4
_chemical_formula_sum 'La6 Ti4 N6 O8'
_cell_length_a 3.9064
_cell_length_b 4.0034
_cell_length_c 20.7575
_cell_angle_alpha 90.00
_cell_angle_beta 90.00
_cell_angle_gamma 90.00
_space_group_name_H-M_alt 'I m m m'
_space_group_IT_number 71
_space_group_name_Hall '-I 2 2'
loop_
_atom_site_label
_atom_site_type_symbol
_atom_site_fract_x
_atom_site_fract_y
_atom_site_fract_z
_atom_site_occupancy
La1 La 0.0000 0.0000 0.0000 1
La2 La 0.0000 0.0000 0.1820 1
Ti1 Ti 0.0000 0.0000 0.4068 1
N1 N 0.0000 0.0000 0.5000 1
N2 N 0.0000 0.5000 0.3986 1
O1 O 0.0000 0.0000 0.2950 1
O2 O 0.0000 0.5000 0.1025 1
```

***

6.
Diffraction record for NaSi3BO8. The powder diffraction line list is simulated, not measured: it uses a crystal structure in the Materials Project, relaxed with GGA-PBE and Cu Kα X-rays.
Neutral-atom scattering factors, no anomalous dispersion.

Main lines, by angle (2θ = 10–90°):
22.68 deg, I 100, hkl -1 1 1; 24.10 deg, I 36, hkl 0 1 -2; 24.70 deg, I 38, hkl 1 1 0; 25.56 deg, I 20, hkl 1 -2 1; 27.29 deg, I 38, hkl 2 0 -1; 28.11 deg, I 41, hkl 0 0 2; 28.68 deg, I 85, hkl -2 1 1; 29.02 deg, I 75, hkl 2 0 0; 29.86 deg, I 22, hkl 0 2 0; 31.13 deg, I 51, hkl 1 -2 2; 33.02 deg, I 25, hkl 1 2 -1; 37.31 deg, I 24, hkl 1 -3 1

Crystal structure
```
data_NaSi3BO8
_chemical_formula_sum 'Na2 Si6 B2 O16'
_cell_length_a 6.8928
_cell_length_b 7.2791
_cell_length_c 7.5206
_cell_angle_alpha 115.24
_cell_angle_beta 100.79
_cell_angle_gamma 106.89
_space_group_name_H-M_alt 'P -1'
_space_group_IT_number 2
loop_
_space_group_symop_operation_xyz
'x,y,z'
'-x,-y,-z'
loop_
_atom_site_label
_atom_site_type_symbol
_atom_site_fract_x
_atom_site_fract_y
_atom_site_fract_z
_atom_site_occupancy
Na1 Na 0.1326 0.2646 0.2498 1
Si1 Si 0.2096 0.8159 0.1964 1
Si2 Si 0.3212 0.8054 0.6019 1
Si3 Si 0.3549 0.5495 0.8213 1
B1 B 0.2218 0.1745 0.8507 1
O1 O 0.0043 0.1437 0.8709 1
O2 O 0.2071 0.7091 0.3496 1
O3 O 0.2118 0.9451 0.7465 1
O4 O 0.2336 0.6519 0.9815 1
O5 O 0.2718 0.2831 0.7306 1
O6 O 0.2769 0.5749 0.6126 1
O7 O 0.3823 0.3093 0.0710 1
O8 O 0.4165 0.0609 0.3239 1
```